Theoretical X-ray powder pattern of ZrNpPt6 for λ = 1.5418 Å (Cu Kα), from DFT lattice parameters and positions (PBE).
Intensities are scaled so that the largest is 1000.

Crystal structure
a = 4.0992 Å, b = 4.0992 Å, c = 8.2444 Å
α = 90.00°, β = 90.00°, γ = 90.00°
Positions (direct):
Zr (0.0000, 0.0000, 0.0000)
Np (0.0000, 0.0000, 0.5000)
Pt (0.0000, 0.5000, 0.2409)
Pt (0.0000, 0.5000, 0.7591)
Pt (0.5000, 0.0000, 0.2409)
Pt (0.5000, 0.0000, 0.7591)
Pt (0.5000, 0.5000, 0.0000)
Pt (0.5000, 0.5000, 0.5000)

Peak list (8 most intense, 10 to 90 degrees two-theta, in order of rising 2θ)
2θ 37.9, I 1000, hkl 1 1 2; 2θ 43.9, I 163, hkl 0 0 4; 2θ 44.2, I 330, hkl 2 0 0; 2θ 64.1, I 216, hkl 2 0 4; 2θ 64.3, I 110, hkl 2 2 0; 2θ 76.8, I 125, hkl 1 1 6; 2θ 77.1, I 260, hkl 3 1 2; 2θ 81.1, I 113, hkl 2 2 4